# KRb2ReCl6
Computed powder diffraction line list, Cu Kα. Input: a PBE-relaxed structure.

Structural model:
```
data_KRb2ReCl6
_chemical_formula_sum 'K4 Rb8 Re4 Cl24'
_cell_length_a 10.7577
_cell_length_b 10.7577
_cell_length_c 10.7577
_cell_angle_alpha 90.00
_cell_angle_beta 90.00
_cell_angle_gamma 90.00
_space_group_name_H-M_alt 'F m -3 m'
_space_group_IT_number 225
_space_group_name_Hall '-F 4 2 3'
loop_
_atom_site_label
_atom_site_type_symbol
_atom_site_fract_x
_atom_site_fract_y
_atom_site_fract_z
K1 K 0.0000 0.0000 0.0000
Rb1 Rb 0.2500 0.2500 0.2500
Re1 Re 0.0000 0.0000 0.5000
Cl1 Cl 0.0000 0.0000 0.2763
```

Peak list (10 most intense, 2θ = 10–80°, sorted by position)
Position (°2θ), d/Å, I_rel
14.26, 6.211, 60
16.48, 5.379, 18
23.39, 3.803, 100
27.50, 3.244, 21
33.31, 2.689, 66
41.11, 2.196, 42
43.72, 2.070, 17
47.83, 1.902, 43
53.90, 1.701, 24
64.86, 1.438, 26